# 1
# KCo2PdBr8
Calculated powder diffraction line list, Cu Kα (λ = 1.5418 Å). Input: a structure optimized by DFT (GGA-PBE).
Intensities are scaled so that the largest is 100.

Most intense lines, 2θ from 5° to 70°, in order of rising 2θ:
two_theta, I (rel.)
8.94, 52
19.63, 43
27.06, 53
28.57, 100
32.67, 93
45.90, 58
47.84, 58
55.81, 35

Atomic structure:
```
KCo2PdBr8
1.0
3.294 1.902 9.888
-3.294 1.902 9.888
0.000 -3.803 9.888
K Co Pd Br
1 2 1 8
direct
0.000 0.000 0.000 K
0.243 0.243 0.243 Co
0.757 0.757 0.757 Co
0.500 0.500 0.500 Pd
0.128 0.769 0.445 Br
0.231 0.555 0.872 Br
0.321 0.321 0.321 Br
0.445 0.128 0.769 Br
0.555 0.872 0.231 Br
0.679 0.679 0.679 Br
0.769 0.445 0.128 Br
0.872 0.231 0.555 Br
```

---

# 2
# KPuCoBr6
Calculated powder diffraction line list, Cu Kα (λ = 1.5418 Å). Input: a structure optimized by DFT (GGA-PBE).
Intensities are scaled so that the largest is 100.

Most intense lines, 2θ from 5° to 70°, in order of rising 2θ:
two_theta, I (rel.)
10.48, 100
16.39, 26
18.20, 55
24.59, 25
30.76, 100
31.34, 49
38.06, 77
49.47, 36

Atomic structure:
```
KPuCoBr6
1.0
9.749 0.000 0.000
-4.875 8.443 0.000
0.000 0.000 7.042
K Pu Co Br
2 2 2 12
direct
0.000 0.000 0.000 K
0.000 0.000 0.500 K
0.333 0.667 0.250 Pu
0.667 0.333 0.750 Pu
0.333 0.667 0.750 Co
0.667 0.333 0.250 Co
0.144 0.430 0.523 Br
0.144 0.713 0.977 Br
0.287 0.430 0.977 Br
0.287 0.856 0.523 Br
0.430 0.144 0.023 Br
0.430 0.287 0.477 Br
0.570 0.713 0.523 Br
0.570 0.856 0.977 Br
0.713 0.144 0.477 Br
0.713 0.570 0.023 Br
0.856 0.287 0.023 Br
0.856 0.570 0.477 Br
```

---

# 3
# KSrCoBr5
Calculated powder diffraction line list, Cu Kα (λ = 1.5418 Å). Input: a structure optimized by DFT (GGA-PBE).
Intensities are scaled so that the largest is 100.

Most intense lines, 2θ from 5° to 70°, in order of rising 2θ:
two_theta, I (rel.)
18.16, 53
22.86, 64
23.07, 57
25.90, 50
26.39, 100
35.11, 40
35.24, 45
42.53, 44

Atomic structure:
```
KSrCoBr5
1.0
4.855 -6.361 0.000
4.855 6.361 0.000
-4.287 0.000 9.833
K Sr Co Br
2 2 2 10
direct
0.147 0.853 0.750 K
0.853 0.147 0.250 K
0.500 0.500 0.000 Sr
0.500 0.500 0.500 Sr
0.182 0.818 0.250 Co
0.818 0.182 0.750 Co
0.098 0.234 0.928 Br
0.160 0.584 0.357 Br
0.234 0.098 0.428 Br
0.400 0.600 0.750 Br
0.416 0.840 0.143 Br
0.584 0.160 0.857 Br
0.600 0.400 0.250 Br
0.766 0.902 0.572 Br
0.840 0.416 0.643 Br
0.902 0.766 0.072 Br
```